Starting from a cell relaxed with GGA-PBE, the powder XRD pattern of MgCoAgTe3 was computed for Cu Ka.

Structural model:
abc: 7.2724 7.2724 10.8970
angles: 90.00 90.00 150.09
Fractional coordinates of all 12 atoms:
Mg  0.1948  0.8052  0.7500
Mg  0.8052  0.1948  0.2500
Co  0.5000  0.5000  0.0000
Co  0.5000  0.5000  0.5000
Ag  0.1505  0.8495  0.2500
Ag  0.8495  0.1505  0.7500
Te  0.1239  0.8761  0.0053
Te  0.1239  0.8761  0.4947
Te  0.4691  0.5309  0.2500
Te  0.5309  0.4691  0.7500
Te  0.8761  0.1239  0.5053
Te  0.8761  0.1239  0.9947

Principal peaks in the range 10° ≤ 2θ ≤ 90°, sorted by position:
d_spacing  I/Imax
7.026  29
3.019  25
2.929  100
2.724  61
2.250  18
1.995  65
1.877  20
1.546  21

---

Starting from a cell relaxed with GGA-PBE, the powder XRD pattern of FeNiPbSe3 was computed for Cu Ka.

Structural model:
abc: 7.2037 7.2037 9.4558
angles: 90.00 90.00 149.72
Fractional coordinates of all 12 atoms:
Fe  0.0319  0.9681  0.7500
Fe  0.9681  0.0319  0.2500
Ni  0.5000  0.5000  0.0000
Ni  0.5000  0.5000  0.5000
Pb  0.2680  0.7320  0.2500
Pb  0.7320  0.2680  0.7500
Se  0.1246  0.8754  0.5410
Se  0.1246  0.8754  0.9590
Se  0.4280  0.5720  0.7500
Se  0.5720  0.4280  0.2500
Se  0.8754  0.1246  0.0410
Se  0.8754  0.1246  0.4590

Principal peaks in the range 10° ≤ 2θ ≤ 90°, sorted by position:
d_spacing  I/Imax
3.910  27
3.391  24
2.801  36
2.792  100
2.485  45
2.381  32
2.364  34
1.588  28

---

Starting from a cell relaxed with GGA-PBE, the powder XRD pattern of KRbGaAu3 was computed for Cu Ka.

Structural model:
abc: 5.6648 6.5657 8.8920
angles: 90.00 90.00 90.00
Fractional coordinates of all 12 atoms:
K  0.2500  0.0000  0.1381
K  0.7500  0.0000  0.8619
Rb  0.2500  0.5000  0.3775
Rb  0.7500  0.5000  0.6225
Ga  0.2500  0.0000  0.5717
Ga  0.7500  0.0000  0.4283
Au  0.0000  0.5000  0.0000
Au  0.2500  0.2748  0.7731
Au  0.2500  0.7252  0.7731
Au  0.5000  0.5000  0.0000
Au  0.7500  0.2748  0.2269
Au  0.7500  0.7252  0.2269

Principal peaks in the range 10° ≤ 2θ ≤ 90°, sorted by position:
d_spacing  I/Imax
6.566  41
5.282  33
4.778  85
2.704  100
2.641  66
2.389  44
2.050  31
1.543  31

---

Starting from a cell relaxed with GGA-PBE, the powder XRD pattern of KPrReSe4 was computed for Cu Ka.

Structural model:
abc: 6.8495 6.9559 9.1917
angles: 90.00 108.81 90.00
Fractional coordinates of all 14 atoms:
K  0.2413  0.0000  0.0560
K  0.7587  0.5000  0.9440
Pr  0.2249  0.9970  0.5473
Pr  0.7751  0.4970  0.4527
Re  0.2574  0.4848  0.3377
Re  0.7426  0.9848  0.6623
Se  0.0012  0.2397  0.7231
Se  0.0120  0.7458  0.7190
Se  0.4198  0.5359  0.1489
Se  0.4522  0.6144  0.5893
Se  0.5478  0.1144  0.4107
Se  0.5802  0.0359  0.8511
Se  0.9880  0.2458  0.2810
Se  0.9988  0.7397  0.2769

Principal peaks in the range 10° ≤ 2θ ≤ 90°, sorted by position:
d_spacing  I/Imax
8.701  100
5.433  59
3.067  30
2.885  34
2.852  37
2.372  38
2.298  21
2.161  23

---

Starting from a cell relaxed with GGA-PBE, the powder XRD pattern of Cu7Ag3 was computed for Cu Ka.

Structural model:
abc: 7.1663 7.1663 7.4050
angles: 104.78 104.78 21.88
Fractional coordinates of all 10 atoms:
Cu  0.0000  0.0000  0.0000
Cu  0.0024  0.0024  0.4946
Cu  0.2088  0.2088  0.0920
Cu  0.4049  0.4049  0.2026
Cu  0.6019  0.6019  0.8212
Cu  0.8058  0.8058  0.3796
Cu  0.8087  0.8087  0.9255
Ag  0.2032  0.2032  0.6191
Ag  0.4047  0.4047  0.6971
Ag  0.6046  0.6046  0.2891

Principal peaks in the range 10° ≤ 2θ ≤ 90°, sorted by position:
d_spacing  I/Imax
2.193  100
2.187  33
1.923  45
1.851  17
1.360  13
1.335  11
1.332  11
1.156  22

---

Starting from a cell relaxed with GGA-PBE, the powder XRD pattern of NbCd2HgF6 was computed for Cu Ka.

Structural model:
abc: 4.9321 4.9321 7.2682
angles: 90.00 90.00 120.00
Fractional coordinates of all 10 atoms:
Nb  0.0000  0.0000  0.0000
Cd  0.3333  0.6667  0.5000
Cd  0.6667  0.3333  0.5000
Hg  0.0000  0.0000  0.5000
F  0.0000  0.3186  0.8441
F  0.0000  0.6814  0.1559
F  0.3186  0.0000  0.8441
F  0.3186  0.3186  0.1559
F  0.6814  0.0000  0.1559
F  0.6814  0.6814  0.8441

Principal peaks in the range 10° ≤ 2θ ≤ 90°, sorted by position:
d_spacing  I/Imax
7.268  86
4.271  41
3.634  61
2.768  25
2.466  62
2.335  69
2.041  100
1.463  35

---

Starting from a cell relaxed with GGA-PBE, the powder XRD pattern of Dy3GaFeS7 was computed for Cu Ka.

Structural model:
abc: 9.5922 6.1383 9.6136
angles: 90.00 119.79 90.00
Fractional coordinates of all 24 atoms:
Dy  0.1238  0.0000  0.3453
Dy  0.2758  0.5024  0.1205
Dy  0.3472  0.5000  0.7226
Dy  0.6528  0.0000  0.2774
Dy  0.7242  0.0024  0.8795
Dy  0.8762  0.5000  0.6547
Ga  0.1671  0.0751  0.8332
Ga  0.8329  0.5751  0.1668
Fe  0.4970  0.1776  0.4940
Fe  0.5030  0.6776  0.5060
S  0.0189  0.2339  0.9316
S  0.0693  0.2353  0.5876
S  0.1659  0.7074  0.8316
S  0.2617  0.4121  0.3968
S  0.3645  0.9105  0.2623
S  0.3967  0.9126  0.6358
S  0.4128  0.2348  0.9812
S  0.5872  0.7348  0.0188
S  0.6033  0.4126  0.3642
S  0.6355  0.4105  0.7377
S  0.7383  0.9121  0.6032
S  0.8341  0.2074  0.1684
S  0.9307  0.7353  0.4124
S  0.9811  0.7339  0.0684

Principal peaks in the range 10° ≤ 2θ ≤ 90°, sorted by position:
d_spacing  I/Imax
4.941  26
3.445  100
3.150  16
2.531  20
2.470  34
2.406  25
2.198  17
1.836  23

---

Starting from a cell relaxed with GGA-PBE, the powder XRD pattern of Y4CoSbN2 was computed for Cu Ka.

Structural model:
abc: 3.5440 3.5440 14.3513
angles: 90.00 90.00 120.00
Fractional coordinates of all 8 atoms:
Y  0.0000  0.0000  0.1345
Y  0.0000  0.0000  0.8655
Y  0.3333  0.6667  0.3272
Y  0.3333  0.6667  0.6728
Co  0.3333  0.6667  0.0000
Sb  0.0000  0.0000  0.5000
N  0.6667  0.3333  0.2449
N  0.6667  0.3333  0.7551

Principal peaks in the range 10° ≤ 2θ ≤ 90°, sorted by position:
d_spacing  I/Imax
3.069  25
2.822  12
2.583  100
1.887  11
1.772  26
1.461  16
1.424  12
1.127  14

---

Starting from a cell relaxed with GGA-PBE, the powder XRD pattern of Dy2TmIn3Cu3 was computed for Cu Ka.

Structural model:
abc: 3.8384 7.5252 7.5252
angles: 119.94 90.00 90.00
Fractional coordinates of all 9 atoms:
Dy  0.0000  0.2041  0.7959
Dy  0.0000  0.7959  0.2041
Tm  0.0000  0.6117  0.6117
In  0.5000  0.2054  0.4626
In  0.5000  0.4626  0.2054
In  0.5000  0.9456  0.9456
Cu  0.0000  0.2052  0.2052
Cu  0.5000  0.5386  0.8693
Cu  0.5000  0.8693  0.5386

Principal peaks in the range 10° ≤ 2θ ≤ 90°, sorted by position:
d_spacing  I/Imax
2.687  100
2.485  69
2.464  49
2.173  26
1.919  19
1.636  21
1.514  21
1.394  24

---

Starting from a cell relaxed with GGA-PBE, the powder XRD pattern of Nb3PdS6 was computed for Cu Ka.

Structural model:
abc: 5.8377 5.8377 12.3680
angles: 90.00 90.00 120.00
Fractional coordinates of all 20 atoms:
Nb  0.0000  0.0000  0.0000
Nb  0.0000  0.0000  0.5000
Nb  0.3333  0.6667  0.0012
Nb  0.3333  0.6667  0.4988
Nb  0.6667  0.3333  0.5012
Nb  0.6667  0.3333  0.9988
Pd  0.3333  0.6667  0.7500
Pd  0.6667  0.3333  0.2500
S  0.0072  0.3338  0.1262
S  0.0072  0.6734  0.3738
S  0.3266  0.3338  0.3738
S  0.3266  0.9928  0.1262
S  0.3338  0.0072  0.8738
S  0.3338  0.3266  0.6262
S  0.6662  0.6734  0.1262
S  0.6662  0.9928  0.3738
S  0.6734  0.0072  0.6262
S  0.6734  0.6662  0.8738
S  0.9928  0.3266  0.8738
S  0.9928  0.6662  0.6262

Principal peaks in the range 10° ≤ 2θ ≤ 90°, sorted by position:
d_spacing  I/Imax
6.184  35
4.680  28
2.919  45
2.639  28
2.123  100
1.685  39
1.320  21
1.139  19

---

Starting from a cell relaxed with GGA-PBE, the powder XRD pattern of FeBiIrOs was computed for Cu Ka.

Structural model:
abc: 4.5432 4.5432 4.5432
angles: 60.00 60.00 60.00
Fractional coordinates of all 4 atoms:
Fe  0.0000  0.0000  0.0000
Bi  0.7500  0.7500  0.7500
Ir  0.5000  0.5000  0.5000
Os  0.2500  0.2500  0.2500

Principal peaks in the range 10° ≤ 2θ ≤ 90°, sorted by position:
d_spacing  I/Imax
3.709  10
3.212  6
2.272  100
1.937  5
1.606  17
1.437  3
1.311  35
1.136  12

---

Starting from a cell relaxed with GGA-PBE, the powder XRD pattern of Ga3Fe5Ge2 was computed for Cu Ka.

Structural model:
abc: 6.2810 6.2810 11.4132
angles: 90.00 90.00 143.07
Fractional coordinates of all 20 atoms:
Ga  0.0000  0.0000  0.0000
Ga  0.0000  0.0000  0.5000
Ga  0.3277  0.6723  0.5262
Ga  0.3277  0.6723  0.9738
Ga  0.6723  0.3277  0.0262
Ga  0.6723  0.3277  0.4738
Fe  0.1530  0.8470  0.6380
Fe  0.1530  0.8470  0.8620
Fe  0.3402  0.6598  0.7500
Fe  0.4729  0.5271  0.1324
Fe  0.4729  0.5271  0.3676
Fe  0.5271  0.4729  0.6324
Fe  0.5271  0.4729  0.8676
Fe  0.6598  0.3402  0.2500
Fe  0.8470  0.1530  0.1380
Fe  0.8470  0.1530  0.3620
Ge  0.0382  0.9618  0.2500
Ge  0.2847  0.7153  0.2500
Ge  0.7153  0.2847  0.7500
Ge  0.9618  0.0382  0.7500

Principal peaks in the range 10° ≤ 2θ ≤ 90°, sorted by position:
d_spacing  I/Imax
2.811  11
2.679  15
2.132  15
2.012  36
2.002  100
1.988  49
1.159  9
1.151  15

---

Starting from a cell relaxed with GGA-PBE, the powder XRD pattern of Er2Si2Tc was computed for Cu Ka.

Structural model:
abc: 5.7529 5.7529 10.0133
angles: 116.24 116.24 42.37
Fractional coordinates of all 10 atoms:
Er  0.0058  0.0058  0.1778
Er  0.1872  0.1872  0.6101
Er  0.8128  0.8128  0.3899
Er  0.9942  0.9942  0.8222
Si  0.3594  0.3594  0.9401
Si  0.4965  0.4965  0.6215
Si  0.5035  0.5035  0.3785
Si  0.6406  0.6406  0.0599
Tc  0.2729  0.2729  0.1299
Tc  0.7271  0.7271  0.8701

Principal peaks in the range 10° ≤ 2θ ≤ 90°, sorted by position:
d_spacing  I/Imax
3.806  59
2.698  54
2.655  82
2.642  100
2.576  45
2.411  58
2.204  65
2.079  51